The following is a computed X-ray powder pattern of Tb2RuO5. It was derived from a PBE-relaxed structure, using Cu Kα (λ = 1.5418 Å).
Neutral-atom scattering factors, no anomalous dispersion.

Peak list (8 most intense, 10 to 80 degrees two-theta, in order of falling intensity)
| (hkl) | two_theta | I/Imax |
| --- | --- | --- |
| 2 1 0 | 28.76 | 1000 |
| 2 0 3 | 29.30 | 844 |
| 0 1 3 | 33.05 | 454 |
| 4 1 3 | 48.77 | 411 |
| 2 2 3 | 56.10 | 289 |
| 0 2 0 | 46.71 | 206 |
| 2 1 6 | 57.05 | 171 |
| 1 0 1 | 11.60 | 165 |

Crystal structure
a b c (Å): 10.304 3.889 11.341
angles (deg): 90.00 90.00 90.00
Space group Pnma (No. 62)
Symmetry-distinct sites (fractional):
Tb  0.111  0.250  0.238 (multiplicity 4)
Tb  0.132  0.250  0.567 (multiplicity 4)
Ru  0.177  0.250  0.888 (multiplicity 4)
O  0.009  0.750  0.595 (multiplicity 4)
O  0.020  0.250  0.799 (multiplicity 4)
O  0.220  0.250  0.053 (multiplicity 4)
O  0.231  0.750  0.892 (multiplicity 4)
O  0.234  0.750  0.234 (multiplicity 4)